This entry pairs a crystal structure of KSb2F7 with its theoretical PXRD pattern. Radiation: Cu Kα. Structure: DFT lattice parameters and positions (PBE).
Lines closer than 0.1° are merged.

Structural model:
```
data_KSb2F7
_cell_length_a 10.9978
_cell_length_b 7.6448
_cell_length_c 8.7251
_cell_angle_alpha 90.00
_cell_angle_beta 101.24
_cell_angle_gamma 90.00
_space_group_name_H-M_alt 'P 1'
_space_group_IT_number 1
loop_
_space_group_symop_operation_xyz
'x,y,z'
loop_
_atom_site_label
_atom_site_fract_x
_atom_site_fract_y
_atom_site_fract_z
K1 0.0707 0.1641 0.3269
K2 0.0707 0.3359 0.8269
K3 0.9293 0.6641 0.1731
K4 0.9293 0.8359 0.6731
Sb1 0.2412 0.6837 0.4908
Sb2 0.2412 0.8163 0.9908
Sb3 0.3922 0.1783 0.6536
Sb4 0.3922 0.3217 0.1536
Sb5 0.6078 0.6783 0.8464
Sb6 0.6078 0.8217 0.3464
Sb7 0.7588 0.1837 0.0092
Sb8 0.7588 0.3163 0.5092
F1 0.0922 0.6578 0.9642
F2 0.0922 0.8422 0.4642
F3 0.1201 0.5105 0.3805
F4 0.1201 0.9895 0.8805
F5 0.1923 0.6176 0.6887
F6 0.1923 0.8824 0.1887
F7 0.2126 0.2028 0.6312
F8 0.2126 0.2972 0.1312
F9 0.3506 0.5871 0.1826
F10 0.3506 0.9129 0.6826
F11 0.3728 0.0662 0.0552
F12 0.3728 0.4338 0.5552
F13 0.3736 0.1113 0.4309
F14 0.3736 0.3887 0.9309
F15 0.6264 0.6113 0.0691
F16 0.6264 0.8887 0.5691
F17 0.6272 0.5662 0.4448
F18 0.6272 0.9338 0.9448
F19 0.6494 0.0871 0.3174
F20 0.6494 0.4129 0.8174
F21 0.7874 0.7028 0.8688
F22 0.7874 0.7972 0.3688
F23 0.8077 0.1176 0.8113
F24 0.8077 0.3824 0.3113
F25 0.8799 0.0105 0.1195
F26 0.8799 0.4895 0.6195
F27 0.9078 0.1578 0.5358
F28 0.9078 0.3422 0.0358
```

Most intense lines, 2θ = 5–70°, in order of rising 2θ:
4.407 Å, rel. 43
3.726 Å, rel. 100
3.686 Å, rel. 27
3.401 Å, rel. 59
3.356 Å, rel. 70
3.253 Å, rel. 79
2.669 Å, rel. 26
2.180 Å, rel. 37
2.098 Å, rel. 35
1.863 Å, rel. 37

This entry pairs a crystal structure of KSbF6 with its theoretical PXRD pattern. Radiation: Cu Kα. Structure: DFT lattice parameters and positions (PBE).
Lines closer than 0.1° are merged.

Structural model:
```
data_KSbF6
_cell_length_a 5.2729
_cell_length_b 5.2729
_cell_length_c 10.2537
_cell_angle_alpha 90.00
_cell_angle_beta 90.00
_cell_angle_gamma 90.00
_space_group_name_H-M_alt 'P 1'
_space_group_IT_number 1
loop_
_space_group_symop_operation_xyz
'x,y,z'
loop_
_atom_site_label
_atom_site_fract_x
_atom_site_fract_y
_atom_site_fract_z
K1 0.0000 0.0000 0.2500
K2 0.0000 0.0000 0.7500
Sb1 0.5000 0.5000 0.0000
Sb2 0.5000 0.5000 0.5000
F1 0.2421 0.2421 0.0000
F2 0.2421 0.7579 0.5000
F3 0.3172 0.3172 0.3682
F4 0.3172 0.3172 0.6318
F5 0.3172 0.6828 0.1318
F6 0.3172 0.6828 0.8682
F7 0.6828 0.3172 0.1318
F8 0.6828 0.3172 0.8682
F9 0.6828 0.6828 0.3682
F10 0.6828 0.6828 0.6318
F11 0.7579 0.2421 0.5000
F12 0.7579 0.7579 0.0000
```

Most intense lines, 2θ = 5–70°, in order of rising 2θ:
5.273 Å, rel. 58
5.127 Å, rel. 29
3.728 Å, rel. 65
3.676 Å, rel. 100
3.015 Å, rel. 15
2.142 Å, rel. 49
2.112 Å, rel. 19
1.864 Å, rel. 15
1.838 Å, rel. 16
1.398 Å, rel. 15

This entry pairs a crystal structure of K3SbF6 with its theoretical PXRD pattern. Radiation: Cu Kα. Structure: DFT lattice parameters and positions (PBE).
Lines closer than 0.1° are merged.

Structural model:
```
data_K3SbF6
_cell_length_a 6.6909
_cell_length_b 6.6909
_cell_length_c 6.6909
_cell_angle_alpha 60.00
_cell_angle_beta 60.00
_cell_angle_gamma 60.00
_space_group_name_H-M_alt 'P 1'
_space_group_IT_number 1
loop_
_space_group_symop_operation_xyz
'x,y,z'
loop_
_atom_site_label
_atom_site_fract_x
_atom_site_fract_y
_atom_site_fract_z
K1 0.0000 0.0000 0.0000
K2 0.2500 0.2500 0.2500
K3 0.7500 0.7500 0.7500
Sb1 0.5000 0.5000 0.5000
F1 0.2679 0.2679 0.7321
F2 0.2679 0.7321 0.2679
F3 0.2679 0.7321 0.7321
F4 0.7321 0.2679 0.2679
F5 0.7321 0.2679 0.7321
F6 0.7321 0.7321 0.2679
```

Most intense lines, 2θ = 5–70°, in order of rising 2θ:
5.463 Å, rel. 43
4.731 Å, rel. 41
3.345 Å, rel. 100
2.853 Å, rel. 17
2.366 Å, rel. 57
2.116 Å, rel. 18
1.931 Å, rel. 38
1.821 Å, rel. 10
1.673 Å, rel. 33
1.496 Å, rel. 18

This entry pairs a crystal structure of KSbF6 with its theoretical PXRD pattern. Radiation: Cu Kα. Structure: DFT lattice parameters and positions (PBE).
Lines closer than 0.1° are merged.

Structural model:
```
data_KSbF6
_cell_length_a 9.0056
_cell_length_b 9.0056
_cell_length_c 9.0056
_cell_angle_alpha 109.47
_cell_angle_beta 109.47
_cell_angle_gamma 109.47
_space_group_name_H-M_alt 'P 1'
_space_group_IT_number 1
loop_
_space_group_symop_operation_xyz
'x,y,z'
loop_
_atom_site_label
_atom_site_fract_x
_atom_site_fract_y
_atom_site_fract_z
K1 0.0000 0.0000 0.0000
K2 0.0000 0.5000 0.5000
K3 0.5000 0.0000 0.5000
K4 0.5000 0.5000 0.0000
Sb1 0.0000 0.0000 0.5000
Sb2 0.0000 0.5000 0.0000
Sb3 0.5000 0.0000 0.0000
Sb4 0.5000 0.5000 0.5000
F1 0.0337 0.9525 0.6980
F2 0.0475 0.3020 0.9663
F3 0.0812 0.5337 0.8356
F4 0.1644 0.9188 0.4663
F5 0.1980 0.2455 0.6644
F6 0.2455 0.6644 0.1980
F7 0.2545 0.4525 0.4188
F8 0.3020 0.9663 0.0475
F9 0.3356 0.8020 0.7545
F10 0.4188 0.2545 0.4525
F11 0.4525 0.4188 0.2545
F12 0.4663 0.1644 0.9188
F13 0.5337 0.8356 0.0812
F14 0.5475 0.5812 0.7455
F15 0.5812 0.7455 0.5475
F16 0.6644 0.1980 0.2455
F17 0.6980 0.0337 0.9525
F18 0.7455 0.5475 0.5812
F19 0.7545 0.3356 0.8020
F20 0.8020 0.7545 0.3356
F21 0.8356 0.0812 0.5337
F22 0.9188 0.4663 0.1644
F23 0.9525 0.6980 0.0337
F24 0.9663 0.0475 0.3020
```

Most intense lines, 2θ = 5–70°, in order of rising 2θ:
5.199 Å, rel. 54
3.677 Å, rel. 100
3.002 Å, rel. 8
2.600 Å, rel. 6
2.325 Å, rel. 6
2.123 Å, rel. 42
1.838 Å, rel. 18
1.733 Å, rel. 10
1.644 Å, rel. 19
1.390 Å, rel. 21

This entry pairs a crystal structure of K4SnSb2F14 with its theoretical PXRD pattern. Radiation: Cu Kα. Structure: DFT lattice parameters and positions (PBE).
Lines closer than 0.1° are merged.

Structural model:
```
data_K4SnSb2F14
_cell_length_a 6.8366
_cell_length_b 7.6103
_cell_length_c 7.7917
_cell_angle_alpha 92.36
_cell_angle_beta 91.42
_cell_angle_gamma 115.33
_space_group_name_H-M_alt 'P 1'
_space_group_IT_number 1
loop_
_space_group_symop_operation_xyz
'x,y,z'
loop_
_atom_site_label
_atom_site_fract_x
_atom_site_fract_y
_atom_site_fract_z
K1 0.1489 0.2643 0.0862
K2 0.2860 0.5531 0.6429
K3 0.7140 0.4469 0.3571
K4 0.8511 0.7357 0.9138
Sn1 0.0000 0.0000 0.5000
Sb1 0.3901 0.8086 0.1850
Sb2 0.6099 0.1914 0.8150
F1 0.0624 0.7709 0.5514
F2 0.0776 0.6206 0.1708
F3 0.1442 0.1319 0.7273
F4 0.2742 0.9351 0.9958
F5 0.2814 0.1262 0.3822
F6 0.4017 0.5744 0.3128
F7 0.4299 0.6616 0.9832
F8 0.5701 0.3384 0.0168
F9 0.5983 0.4256 0.6872
F10 0.7186 0.8738 0.6178
F11 0.7258 0.0649 0.0042
F12 0.8558 0.8681 0.2727
F13 0.9224 0.3794 0.8292
F14 0.9376 0.2291 0.4486
```

Most intense lines, 2θ = 5–70°, in order of rising 2θ:
5.300 Å, rel. 45
4.775 Å, rel. 62
4.728 Å, rel. 68
3.416 Å, rel. 53
3.363 Å, rel. 100
3.344 Å, rel. 52
3.280 Å, rel. 47
3.210 Å, rel. 40
2.378 Å, rel. 70
2.305 Å, rel. 39

This entry pairs a crystal structure of K3ScF6 with its theoretical PXRD pattern. Radiation: Cu Kα. Structure: DFT lattice parameters and positions (PBE).
Lines closer than 0.1° are merged.

Structural model:
```
data_K3ScF6
_cell_length_a 6.4302
_cell_length_b 6.4302
_cell_length_c 6.4302
_cell_angle_alpha 60.00
_cell_angle_beta 60.00
_cell_angle_gamma 60.00
_space_group_name_H-M_alt 'P 1'
_space_group_IT_number 1
loop_
_space_group_symop_operation_xyz
'x,y,z'
loop_
_atom_site_label
_atom_site_fract_x
_atom_site_fract_y
_atom_site_fract_z
K1 0.0000 0.0000 0.0000
K2 0.2500 0.2500 0.2500
K3 0.7500 0.7500 0.7500
Sc1 0.5000 0.5000 0.5000
F1 0.2768 0.2768 0.7232
F2 0.2768 0.7232 0.2768
F3 0.2768 0.7232 0.7232
F4 0.7232 0.2768 0.2768
F5 0.7232 0.2768 0.7232
F6 0.7232 0.7232 0.2768
```

Most intense lines, 2θ = 5–70°, in order of rising 2θ:
5.250 Å, rel. 8
4.547 Å, rel. 16
3.215 Å, rel. 100
2.625 Å, rel. 25
2.273 Å, rel. 78
1.856 Å, rel. 32
1.750 Å, rel. 5
1.608 Å, rel. 41
1.438 Å, rel. 18
1.371 Å, rel. 4

This entry pairs a crystal structure of K5Sc3F14 with its theoretical PXRD pattern. Radiation: Cu Kα. Structure: DFT lattice parameters and positions (PBE).
Lines closer than 0.1° are merged.

Structural model:
```
data_K5Sc3F14
_cell_length_a 7.9901
_cell_length_b 7.9901
_cell_length_c 12.0229
_cell_angle_alpha 90.00
_cell_angle_beta 90.00
_cell_angle_gamma 90.00
_space_group_name_H-M_alt 'P 1'
_space_group_IT_number 1
loop_
_space_group_symop_operation_xyz
'x,y,z'
loop_
_atom_site_label
_atom_site_fract_x
_atom_site_fract_y
_atom_site_fract_z
K1 0.0000 0.0000 0.0000
K2 0.2234 0.2766 0.2500
K3 0.2234 0.2766 0.7500
K4 0.2766 0.7766 0.2500
K5 0.2766 0.7766 0.7500
K6 0.5000 0.5000 0.5000
K7 0.7234 0.2234 0.2500
K8 0.7234 0.2234 0.7500
K9 0.7766 0.7234 0.2500
K10 0.7766 0.7234 0.7500
Sc1 0.0000 0.0000 0.5000
Sc2 0.0000 0.5000 0.0000
Sc3 0.0000 0.5000 0.5000
Sc4 0.5000 0.0000 0.0000
Sc5 0.5000 0.0000 0.5000
Sc6 0.5000 0.5000 0.0000
F1 0.0000 0.0000 0.3324
F2 0.0000 0.0000 0.6676
F3 0.0352 0.6778 0.1170
F4 0.0352 0.6778 0.8830
F5 0.0616 0.2480 0.5000
F6 0.1778 0.5352 0.3830
F7 0.1778 0.5352 0.6170
F8 0.2480 0.9384 0.5000
F9 0.2520 0.4384 0.0000
F10 0.3222 0.0352 0.1170
F11 0.3222 0.0352 0.8830
F12 0.4384 0.7480 0.0000
F13 0.4648 0.1778 0.3830
F14 0.4648 0.1778 0.6170
F15 0.5000 0.5000 0.1676
F16 0.5000 0.5000 0.8324
F17 0.5352 0.8222 0.3830
F18 0.5352 0.8222 0.6170
F19 0.5616 0.2520 0.0000
F20 0.6778 0.9648 0.1170
F21 0.6778 0.9648 0.8830
F22 0.7480 0.5616 0.0000
F23 0.7520 0.0616 0.5000
F24 0.8222 0.4648 0.3830
F25 0.8222 0.4648 0.6170
F26 0.9384 0.7520 0.5000
F27 0.9648 0.3222 0.1170
F28 0.9648 0.3222 0.8830
```

Most intense lines, 2θ = 5–70°, in order of rising 2θ:
3.327 Å, rel. 100
3.006 Å, rel. 12
2.825 Å, rel. 16
2.667 Å, rel. 17
2.301 Å, rel. 15
2.058 Å, rel. 28
1.997 Å, rel. 22
1.791 Å, rel. 19
1.713 Å, rel. 24
1.664 Å, rel. 11

This entry pairs a crystal structure of KScTl2F6 with its theoretical PXRD pattern. Radiation: Cu Kα. Structure: DFT lattice parameters and positions (PBE).
Lines closer than 0.1° are merged.

Structural model:
```
data_KScTl2F6
_cell_length_a 6.4841
_cell_length_b 6.4841
_cell_length_c 6.4841
_cell_angle_alpha 60.00
_cell_angle_beta 60.00
_cell_angle_gamma 60.00
_space_group_name_H-M_alt 'P 1'
_space_group_IT_number 1
loop_
_space_group_symop_operation_xyz
'x,y,z'
loop_
_atom_site_label
_atom_site_fract_x
_atom_site_fract_y
_atom_site_fract_z
K1 0.0000 0.0000 0.0000
Sc1 0.5000 0.5000 0.5000
Tl1 0.2500 0.2500 0.2500
Tl2 0.7500 0.7500 0.7500
F1 0.2783 0.2783 0.7217
F2 0.2783 0.7217 0.2783
F3 0.2783 0.7217 0.7217
F4 0.7217 0.2783 0.2783
F5 0.7217 0.2783 0.7217
F6 0.7217 0.7217 0.2783
```

Most intense lines, 2θ = 5–70°, in order of rising 2θ:
4.585 Å, rel. 39
3.242 Å, rel. 100
2.647 Å, rel. 35
2.292 Å, rel. 34
2.050 Å, rel. 23
1.872 Å, rel. 41
1.621 Å, rel. 21
1.528 Å, rel. 12
1.450 Å, rel. 20
1.382 Å, rel. 12

This entry pairs a crystal structure of K3SmF6 with its theoretical PXRD pattern. Radiation: Cu Kα. Structure: DFT lattice parameters and positions (PBE).
Lines closer than 0.1° are merged.

Structural model:
```
data_K3SmF6
_cell_length_a 6.9375
_cell_length_b 6.9375
_cell_length_c 6.9375
_cell_angle_alpha 116.67
_cell_angle_beta 116.67
_cell_angle_gamma 95.87
_space_group_name_H-M_alt 'P 1'
_space_group_IT_number 1
loop_
_space_group_symop_operation_xyz
'x,y,z'
loop_
_atom_site_label
_atom_site_fract_x
_atom_site_fract_y
_atom_site_fract_z
K1 0.0000 0.0000 0.0000
K2 0.2500 0.7500 0.5000
K3 0.7500 0.2500 0.5000
Sm1 0.5000 0.5000 0.0000
F1 0.1912 0.5000 0.6912
F2 0.2573 0.2573 0.0000
F3 0.5000 0.1912 0.6912
F4 0.5000 0.8088 0.3088
F5 0.7427 0.7427 0.0000
F6 0.8088 0.5000 0.3088
```

Most intense lines, 2θ = 5–70°, in order of rising 2θ:
5.733 Å, rel. 99
5.150 Å, rel. 29
4.648 Å, rel. 19
3.642 Å, rel. 100
3.451 Å, rel. 67
2.575 Å, rel. 23
2.349 Å, rel. 19
2.324 Å, rel. 20
2.064 Å, rel. 48
1.959 Å, rel. 32

This entry pairs a crystal structure of K3SmF6 with its theoretical PXRD pattern. Radiation: Cu Kα. Structure: DFT lattice parameters and positions (PBE).
Lines closer than 0.1° are merged.

Structural model:
```
data_K3SmF6
_cell_length_a 6.7593
_cell_length_b 6.7593
_cell_length_c 6.7593
_cell_angle_alpha 60.00
_cell_angle_beta 60.00
_cell_angle_gamma 60.00
_space_group_name_H-M_alt 'P 1'
_space_group_IT_number 1
loop_
_space_group_symop_operation_xyz
'x,y,z'
loop_
_atom_site_label
_atom_site_fract_x
_atom_site_fract_y
_atom_site_fract_z
K1 0.0000 0.0000 0.0000
K2 0.2500 0.2500 0.2500
K3 0.7500 0.7500 0.7500
Sm1 0.5000 0.5000 0.5000
F1 0.2652 0.2652 0.7348
F2 0.2652 0.7348 0.2652
F3 0.2652 0.7348 0.7348
F4 0.7348 0.2652 0.2652
F5 0.7348 0.2652 0.7348
F6 0.7348 0.7348 0.2652
```

Most intense lines, 2θ = 5–70°, in order of rising 2θ:
5.519 Å, rel. 55
4.780 Å, rel. 47
3.380 Å, rel. 100
2.882 Å, rel. 26
2.390 Å, rel. 52
2.137 Å, rel. 22
1.951 Å, rel. 40
1.840 Å, rel. 13
1.690 Å, rel. 32
1.511 Å, rel. 18